Diffraction record for Ba2NaNiH6. The X-ray powder pattern is simulated, not measured: it uses a DFT-relaxed cell (GGA-PBE, Alexandria) and Cu Kα, 1.54184 Å.

Atomic structure:
```
Ba2NaNiH6
1.0
5.663 0.000 0.000
-2.831 4.904 0.000
0.000 0.000 5.385
Ba Na Ni H
2 1 1 6
Direct
0.333 0.667 0.195
0.667 0.333 0.805
0.000 0.000 0.500
0.000 0.000 0.000
0.145 0.290 0.823
0.145 0.855 0.823
0.290 0.145 0.177
0.710 0.855 0.823
0.855 0.145 0.177
0.855 0.710 0.177
```

The 6 most intense peaks (2θ = 5–70°), in order of rising 2θ:
d/Å  2θ (°)  intensity
3.626  24.6  100
2.831  31.6  72
2.360  38.1  39
2.232  40.4  28
1.753  52.2  25
1.527  60.7  20